No. 1
Structure and computed PXRD pattern of Tb4Er5 (a structure optimized by DFT (PBE); Cu Kα (λ = 1.5418 Å)).
Peak positions follow from Bragg's law for the DFT cell and can differ from measured ones.

Crystal structure
Cell lengths 9.0032, 9.0032, 9.0032 Å; angles 156.98, 96.57, 88.01 degrees
Fractional coordinates of all 9 atoms:
Tb: 0.0456 0.1894 0.8562
Tb: 0.3332 0.1894 0.1438
Tb: 0.6668 0.8106 0.8562
Tb: 0.9544 0.8106 0.1438
Er: 0.0000 0.5000 0.5000
Er: 0.2939 0.5000 0.7939
Er: 0.3743 0.8743 0.5000
Er: 0.6257 0.1257 0.5000
Er: 0.7061 0.5000 0.2061

Main lines, sorted by position (2θ = 5–70°):
two_theta	d/Å	I_rel
30.5	2.932	936
32.4	2.762	1000
32.9	2.719	289
33.5	2.671	922
35.5	2.532	209
53.2	1.720	335
60.4	1.532	270
63.5	1.465	215

No. 2
Structure and computed PXRD pattern of TbEr4 (a structure optimized by DFT (PBE); Cu Kα (λ = 1.5418 Å)).
Peak positions follow from Bragg's law for the DFT cell and can differ from measured ones.

Crystal structure
Cell lengths 3.5097, 3.5097, 14.4141 Å; angles 96.86, 96.86, 60.06 degrees
Fractional coordinates of all 5 atoms:
Tb: 0.0000 0.0000 0.0000
Er: 0.1997 0.1997 0.5996
Er: 0.4000 0.4000 0.2014
Er: 0.6000 0.6000 0.7986
Er: 0.8003 0.8003 0.4004

Main lines, sorted by position (2θ = 5–70°):
two_theta	d/Å	I_rel
31.2	2.865	1000
31.3	2.855	330
36.2	2.479	672
52.1	1.755	240
52.2	1.751	237
62.0	1.497	284
62.1	1.494	235
65.1	1.433	123

No. 3
Structure and computed PXRD pattern of Tb2Er7Tc2 (a structure optimized by DFT (PBE); Cu Kα (λ = 1.5418 Å)).
Peak positions follow from Bragg's law for the DFT cell and can differ from measured ones.

Crystal structure
Cell lengths 10.7425, 10.7425, 10.7425 Å; angles 161.07, 55.22, 128.65 degrees
Fractional coordinates of all 11 atoms:
Tb: 0.2448 0.0000 0.2448
Tb: 0.7552 0.0000 0.7552
Er: 0.0676 0.4862 0.5815
Er: 0.1915 0.3060 0.8855
Er: 0.4205 0.3060 0.1145
Er: 0.5398 0.0398 0.5000
Er: 0.5619 0.6996 0.8624
Er: 0.8372 0.6996 0.1376
Er: 0.9047 0.4862 0.4185
Tc: 0.2382 0.7382 0.5000
Tc: 0.7821 0.7821 0.0000

Main lines, sorted by position (2θ = 5–70°):
two_theta	d/Å	I_rel
26.8	3.328	372
28.9	3.087	363
32.1	2.785	1000
33.0	2.714	845
38.7	2.329	412
39.8	2.264	366
55.2	1.665	349
59.4	1.556	379